Lu2TiO5: theoretical X-ray diffraction stick pattern (Cu Kα X-rays), based on the PBE geometry in the Materials Project.

Peak list (10 most intense, 10 to 90 degrees two-theta, by angle)
2θ (°)  d_spacing  intensity
19.0  4.680  89.9
26.0  3.428  62.2
29.4  3.033  71.5
30.8  2.903  100.0
33.2  2.696  50.6
33.9  2.646  33.7
34.3  2.617  74.4
35.1  2.558  40.3
43.5  2.080  34.7
49.0  1.860  41.6

Cell and atoms:
Unit cell a=11.401 b=5.232 c=7.465 alpha=90.00 beta=113.33 gamma=90.00
Space group C2/c (No. 15)
One atom of each set of equivalent atoms:
1 Lu 0.137 0.005 0.246
2 Ti 0.000 0.500 0.000
3 O 0.000 0.325 0.250
4 O 0.073 0.178 0.954
5 O 0.172 0.357 0.643



LuTlO3: theoretical X-ray diffraction stick pattern (Cu Kα X-rays), based on the PBE geometry in the Materials Project.

Peak list (10 most intense, 10 to 90 degrees two-theta, by angle)
2θ (°)  d_spacing  intensity
30.6  2.926  100.0
30.8  2.904  20.7
31.4  2.848  23.2
42.9  2.106  12.1
44.6  2.033  17.4
53.8  1.705  10.3
54.2  1.693  11.8
54.6  1.681  14.1
55.4  1.659  21.6
63.6  1.463  11.2

Cell and atoms:
Unit cell a=5.808 b=8.426 c=5.695 alpha=90.00 beta=90.00 gamma=90.00
Space group Pnma (No. 62)
One atom of each set of equivalent atoms:
1 Lu 0.000 0.000 0.000
2 Tl 0.052 0.250 0.483
3 O 0.081 0.750 0.127
4 O 0.181 0.572 0.678



LuUO3: theoretical X-ray diffraction stick pattern (Cu Kα X-rays), based on the PBE geometry in the Materials Project.

Peak list (10 most intense, 10 to 90 degrees two-theta, by angle)
2θ (°)  d_spacing  intensity
21.2  4.192  0.9
30.1  2.964  100.0
37.1  2.420  2.8
43.2  2.096  26.1
53.5  1.711  42.0
62.7  1.482  17.0
71.1  1.326  18.7
75.2  1.264  1.0
79.1  1.210  5.9
87.0  1.120  23.4

Cell and atoms:
Unit cell a=4.192 b=4.192 c=4.192 alpha=90.00 beta=90.00 gamma=90.00
Space group Pm-3m (No. 221)
One atom of each set of equivalent atoms:
1 Lu 0.000 0.000 0.000
2 U 0.500 0.500 0.500
3 O 0.000 0.000 0.500



YLuO3: theoretical X-ray diffraction stick pattern (Cu Kα X-rays), based on the PBE geometry in the Materials Project.

Peak list (10 most intense, 10 to 90 degrees two-theta, by angle)
2θ (°)  d_spacing  intensity
21.9  4.060  16.3
30.3  2.945  23.0
31.0  2.888  100.0
31.9  2.802  21.6
44.1  2.055  11.7
44.6  2.030  19.5
54.3  1.689  16.9
55.5  1.657  11.2
56.3  1.634  22.7
64.5  1.444  11.3

Cell and atoms:
Unit cell a=5.891 b=8.219 c=5.605 alpha=90.00 beta=90.00 gamma=90.00
Space group Pnma (No. 62)
One atom of each set of equivalent atoms:
1 Y 0.057 0.250 0.015
2 Lu 0.000 0.000 0.500
3 O 0.072 0.750 0.360
4 O 0.185 0.573 0.819



YLuO3: theoretical X-ray diffraction stick pattern (Cu Kα X-rays), based on the PBE geometry in the Materials Project.

Peak list (10 most intense, 10 to 90 degrees two-theta, by angle)
2θ (°)  d_spacing  intensity
13.9  6.375  20.7
28.0  3.188  48.5
29.0  3.082  100.0
31.5  2.843  68.2
35.3  2.544  32.4
45.6  1.988  29.8
49.7  1.834  39.4
51.8  1.766  23.0
58.0  1.589  37.1
79.7  1.203  14.0

Cell and atoms:
Unit cell a=3.6671 b=3.6671 c=12.7504 alpha=90.00 beta=90.00 gamma=120.00
Space group P6_3/mmc (No. 194)
One atom of each set of equivalent atoms:
1 Y 0.0000 0.0000 0.0000
2 Lu 0.3333 0.6667 0.2500
3 O 0.0000 0.0000 0.2500
4 O 0.3333 0.6667 0.0790



Lu4Zr3O12: theoretical X-ray diffraction stick pattern (Cu Kα X-rays), based on the PBE geometry in the Materials Project.

Peak list (10 most intense, 10 to 90 degrees two-theta, by angle)
2θ (°)  d_spacing  intensity
18.3  4.841  15.9
29.7  3.013  93.6
29.9  2.984  100.0
34.5  2.603  40.0
34.7  2.585  20.3
49.7  1.835  39.8
49.8  1.831  13.3
49.9  1.827  14.0
58.6  1.575  14.8
59.1  1.563  27.4

Cell and atoms:
Unit cell a=6.334 b=6.339 c=6.393 alpha=99.47 beta=98.97 gamma=99.62
Space group P-1 (No. 2)
One atom of each set of equivalent atoms:
1 Lu 0.109 0.303 0.137
2 Lu 0.189 0.861 0.390
3 Zr 0.355 0.391 0.682
4 Zr 0.500 0.000 0.000
5 O 0.083 0.423 0.821
6 O 0.088 0.184 0.433
7 O 0.182 0.925 0.059
8 O 0.326 0.573 0.427
9 O 0.418 0.072 0.684
10 O 0.456 0.324 0.094



Lu4Zr3O12: theoretical X-ray diffraction stick pattern (Cu Kα X-rays), based on the PBE geometry in the Materials Project.

Peak list (10 most intense, 10 to 90 degrees two-theta, by angle)
2θ (°)  d_spacing  intensity
18.4  4.835  9.0
29.7  3.011  30.6
29.9  2.988  100.0
34.6  2.594  27.9
34.6  2.589  14.7
49.6  1.839  17.2
49.6  1.837  8.7
49.9  1.829  18.8
49.9  1.826  9.3
59.2  1.561  19.4

Cell and atoms:
Unit cell a=6.344 b=6.346 c=12.686 alpha=99.16 beta=99.43 gamma=99.43
Space group P-1 (No. 2)
One atom of each set of equivalent atoms:
1 Lu 0.109 0.138 0.403
2 Lu 0.188 0.391 0.680
3 Lu 0.195 0.389 0.180
4 Lu 0.359 0.689 0.945
5 Zr 0.113 0.143 0.905
6 Zr 0.357 0.685 0.444
7 Zr 0.496 0.994 0.749
8 O 0.072 0.828 0.963
9 O 0.076 0.420 0.841
10 O 0.084 0.820 0.463
11 O 0.090 0.433 0.341
12 O 0.179 0.045 0.205
13 O 0.179 0.058 0.713
14 O 0.317 0.410 0.033
15 O 0.326 0.424 0.535
16 O 0.421 0.685 0.286
17 O 0.422 0.679 0.778
18 O 0.433 0.081 0.909
19 O 0.452 0.088 0.412



LuOs3: theoretical X-ray diffraction stick pattern (Cu Kα X-rays), based on the PBE geometry in the Materials Project.

Peak list (10 most intense, 10 to 90 degrees two-theta, by angle)
2θ (°)  d_spacing  intensity
36.2  2.480  24.0
39.2  2.297  25.9
41.4  2.182  100.0
54.4  1.685  15.1
65.2  1.432  17.5
72.5  1.303  19.4
78.8  1.215  20.7
80.2  1.197  14.8
84.3  1.149  3.0
89.9  1.091  3.9

Cell and atoms:
Unit cell a=5.7263 b=5.7263 c=4.5948 alpha=90.00 beta=90.00 gamma=120.00
Space group P6_3/mmc (No. 194)
One atom of each set of equivalent atoms:
1 Lu 0.3333 0.6667 0.2500
2 Os 0.1627 0.3254 0.7500